(1)
Diffraction record for Dy5Tm2Ni2Te2. The powder XRD pattern is calculated, not measured: it uses a GGA-PBE-relaxed structure and Cu Kα.

The 8 most intense peaks (2θ from 15° to 90°), by intensity:
2.628 Å, intensity 100.0; 2.710 Å, intensity 82.0; 2.593 Å, intensity 77.9; 2.937 Å, intensity 51.1; 1.567 Å, intensity 31.5; 1.921 Å, intensity 29.8; 3.088 Å, intensity 24.0; 2.960 Å, intensity 22.9

Cell and atoms:
abc: 9.328 9.328 9.328
angles: 156.23 66.84 118.56
Fractional coordinates of all 11 atoms:
Dy (0.000, 0.000, 0.000)
Dy (0.083, 0.731, 0.352)
Dy (0.379, 0.731, 0.648)
Dy (0.449, 0.582, 0.867)
Dy (0.715, 0.582, 0.133)
Tm (0.064, 0.380, 0.684)
Tm (0.695, 0.380, 0.316)
Ni (0.308, 0.071, 0.238)
Ni (0.833, 0.071, 0.762)
Te (0.336, 0.336, 0.000)
Te (0.736, 0.236, 0.500)


(2)
Diffraction record for DyYCu2As4. The powder XRD pattern is calculated, not measured: it uses a GGA-PBE-relaxed structure and Cu Kα.

The 8 most intense peaks (2θ from 15° to 90°), by intensity:
2.410 Å, intensity 100.0; 1.954 Å, intensity 35.1; 2.515 Å, intensity 21.1; 1.199 Å, intensity 20.6; 3.062 Å, intensity 19.7; 1.760 Å, intensity 14.8; 2.464 Å, intensity 13.5; 1.531 Å, intensity 12.0

Cell and atoms:
abc: 3.908 3.908 9.856
angles: 90.00 90.00 90.00
Fractional coordinates of all 8 atoms:
Dy (0.000, 0.000, 0.000)
Y (0.500, 0.500, 0.474)
Cu (0.000, 0.500, 0.737)
Cu (0.500, 0.000, 0.737)
As (0.000, 0.000, 0.577)
As (0.000, 0.500, 0.236)
As (0.500, 0.000, 0.236)
As (0.500, 0.500, 0.898)


What did the second record say?
Diffraction record for DyYCu2As4. The powder XRD pattern is calculated, not measured: it uses a GGA-PBE-relaxed structure and Cu Kα.

The 8 most intense peaks (2θ from 15° to 90°), by intensity:
2.410 Å, intensity 100.0; 1.954 Å, intensity 35.1; 2.515 Å, intensity 21.1; 1.199 Å, intensity 20.6; 3.062 Å, intensity 19.7; 1.760 Å, intensity 14.8; 2.464 Å, intensity 13.5; 1.531 Å, intensity 12.0

Cell and atoms:
abc: 3.908 3.908 9.856
angles: 90.00 90.00 90.00
Fractional coordinates of all 8 atoms:
Dy (0.000, 0.000, 0.000)
Y (0.500, 0.500, 0.474)
Cu (0.000, 0.500, 0.737)
Cu (0.500, 0.000, 0.737)
As (0.000, 0.000, 0.577)
As (0.000, 0.500, 0.236)
As (0.500, 0.000, 0.236)
As (0.500, 0.500, 0.898)


What did the first record say?
Diffraction record for Dy5Tm2Ni2Te2. The powder XRD pattern is calculated, not measured: it uses a GGA-PBE-relaxed structure and Cu Kα.

The 8 most intense peaks (2θ from 15° to 90°), by intensity:
2.628 Å, intensity 100.0; 2.710 Å, intensity 82.0; 2.593 Å, intensity 77.9; 2.937 Å, intensity 51.1; 1.567 Å, intensity 31.5; 1.921 Å, intensity 29.8; 3.088 Å, intensity 24.0; 2.960 Å, intensity 22.9

Cell and atoms:
abc: 9.328 9.328 9.328
angles: 156.23 66.84 118.56
Fractional coordinates of all 11 atoms:
Dy (0.000, 0.000, 0.000)
Dy (0.083, 0.731, 0.352)
Dy (0.379, 0.731, 0.648)
Dy (0.449, 0.582, 0.867)
Dy (0.715, 0.582, 0.133)
Tm (0.064, 0.380, 0.684)
Tm (0.695, 0.380, 0.316)
Ni (0.308, 0.071, 0.238)
Ni (0.833, 0.071, 0.762)
Te (0.336, 0.336, 0.000)
Te (0.736, 0.236, 0.500)